# Pr6NdCd
Computed powder diffractogram, a wavelength of 1.5418 Å. Input: DFT lattice parameters and positions (GGA-PBE).
Peak positions follow from Bragg's law for the DFT cell and can differ from measured ones.

Structural model:
a b c (Å): 11.078 11.078 11.078
angles (deg): 153.46 153.46 37.89
Fractional coordinates of all 8 atoms:
Pr1 0.121 0.621 0.500
Pr2 0.249 0.249 0.000
Pr3 0.379 0.879 0.500
Pr4 0.621 0.121 0.500
Pr5 0.751 0.751 0.000
Pr6 0.879 0.379 0.500
Nd1 0.000 0.000 0.000
Cd1 0.500 0.500 0.000

Peak list (6 most intense, 10° ≤ 2θ ≤ 90°, by angle)
Position (°2θ), d (Å), intensity
30.14, 2.965, 100
34.23, 2.619, 18
35.29, 2.543, 33
49.99, 1.825, 24
58.78, 1.571, 14
60.18, 1.538, 28